(1)
Diffraction record for KZn2InF8. The PXRD pattern is calculated, not measured: it uses a crystal structure in Alexandria, relaxed with GGA-PBE and copper Kα.
Neutral-atom scattering factors, no anomalous dispersion.

Atomic structure:
Lattice parameters (Å, degrees): 8.398 8.398 8.398 37.03 37.03 37.03
Positions (direct):
K 0.000 0.000 0.000
Zn 0.251 0.251 0.251
Zn 0.749 0.749 0.749
In 0.500 0.500 0.500
F 0.126 0.446 0.770
F 0.230 0.874 0.554
F 0.330 0.330 0.330
F 0.446 0.770 0.126
F 0.554 0.230 0.874
F 0.670 0.670 0.670
F 0.770 0.126 0.446
F 0.874 0.554 0.230

Largest 10 diffraction maxima, by angle, 2θ from 5° to 70°:
11.32 deg, I 235; 19.59 deg, I 212; 24.54 deg, I 1000; 33.60 deg, I 431; 36.31 deg, I 324; 42.05 deg, I 230; 54.87 deg, I 205; 58.58 deg, I 287; 60.09 deg, I 178; 61.86 deg, I 136



(2)
Diffraction record for Al2CdGa9. The PXRD pattern is calculated, not measured: it uses a crystal structure in Alexandria, relaxed with GGA-PBE and copper Kα.
Neutral-atom scattering factors, no anomalous dispersion.

Atomic structure:
Lattice parameters (Å, degrees): 4.225 4.225 12.479 90.00 90.00 90.00
Positions (direct):
Al 0.000 0.000 0.161
Al 0.000 0.000 0.839
Cd 0.000 0.000 0.500
Ga 0.000 0.500 0.000
Ga 0.000 0.500 0.322
Ga 0.000 0.500 0.678
Ga 0.500 0.000 0.000
Ga 0.500 0.000 0.322
Ga 0.500 0.000 0.678
Ga 0.500 0.500 0.162
Ga 0.500 0.500 0.500
Ga 0.500 0.500 0.838

Largest 10 diffraction maxima, by angle, 2θ from 5° to 70°:
7.08 deg, I 59; 22.22 deg, I 44; 25.46 deg, I 28; 30.78 deg, I 25; 33.25 deg, I 36; 37.05 deg, I 1000; 42.81 deg, I 337; 43.51 deg, I 152; 62.15 deg, I 107; 62.69 deg, I 194



(3)
Diffraction record for Zn6GaAu12. The PXRD pattern is calculated, not measured: it uses a crystal structure in Alexandria, relaxed with GGA-PBE and copper Kα.
Neutral-atom scattering factors, no anomalous dispersion.

Atomic structure:
Lattice parameters (Å, degrees): 7.588 7.588 7.588 108.08 108.08 108.08
Positions (direct):
Zn 0.300 0.300 0.695
Zn 0.300 0.695 0.300
Zn 0.305 0.700 0.700
Zn 0.695 0.300 0.300
Zn 0.700 0.305 0.700
Zn 0.700 0.700 0.305
Ga 0.000 0.000 0.000
Au 0.110 0.347 0.347
Au 0.120 0.500 0.880
Au 0.120 0.880 0.500
Au 0.347 0.110 0.347
Au 0.347 0.347 0.110
Au 0.500 0.120 0.880
Au 0.500 0.880 0.120
Au 0.653 0.653 0.890
Au 0.653 0.890 0.653
Au 0.880 0.120 0.500
Au 0.880 0.500 0.120
Au 0.890 0.653 0.653

Largest 10 diffraction maxima, by angle, 2θ from 5° to 70°:
23.52 deg, I 546; 32.30 deg, I 1000; 36.37 deg, I 338; 38.53 deg, I 613; 38.79 deg, I 261; 42.08 deg, I 615; 43.29 deg, I 398; 46.55 deg, I 191; 48.33 deg, I 452; 51.97 deg, I 185



(4)
Diffraction record for Be7Ru6. The PXRD pattern is calculated, not measured: it uses a crystal structure in Alexandria, relaxed with GGA-PBE and copper Kα.
Neutral-atom scattering factors, no anomalous dispersion.

Atomic structure:
Lattice parameters (Å, degrees): 8.637 8.637 8.637 29.55 29.55 29.55
Positions (direct):
Be 0.000 0.000 0.000
Be 0.092 0.092 0.590
Be 0.092 0.590 0.092
Be 0.410 0.908 0.908
Be 0.590 0.092 0.092
Be 0.908 0.410 0.908
Be 0.908 0.908 0.410
Ru 0.167 0.167 0.167
Ru 0.348 0.348 0.348
Ru 0.452 0.452 0.452
Ru 0.548 0.548 0.548
Ru 0.652 0.652 0.652
Ru 0.833 0.833 0.833

Largest 10 diffraction maxima, by angle, 2θ from 5° to 70°:
10.72 deg, I 328; 21.53 deg, I 435; 23.60 deg, I 443; 27.46 deg, I 238; 37.41 deg, I 157; 40.98 deg, I 1000; 43.57 deg, I 583; 46.75 deg, I 441; 46.86 deg, I 321; 61.35 deg, I 175



Please write out number 1 again, unchanged.
Diffraction record for KZn2InF8. The PXRD pattern is calculated, not measured: it uses a crystal structure in Alexandria, relaxed with GGA-PBE and copper Kα.
Neutral-atom scattering factors, no anomalous dispersion.

Atomic structure:
Lattice parameters (Å, degrees): 8.398 8.398 8.398 37.03 37.03 37.03
Positions (direct):
K 0.000 0.000 0.000
Zn 0.251 0.251 0.251
Zn 0.749 0.749 0.749
In 0.500 0.500 0.500
F 0.126 0.446 0.770
F 0.230 0.874 0.554
F 0.330 0.330 0.330
F 0.446 0.770 0.126
F 0.554 0.230 0.874
F 0.670 0.670 0.670
F 0.770 0.126 0.446
F 0.874 0.554 0.230

Largest 10 diffraction maxima, by angle, 2θ from 5° to 70°:
11.32 deg, I 235; 19.59 deg, I 212; 24.54 deg, I 1000; 33.60 deg, I 431; 36.31 deg, I 324; 42.05 deg, I 230; 54.87 deg, I 205; 58.58 deg, I 287; 60.09 deg, I 178; 61.86 deg, I 136